No. 1
Starting from a GGA-PBE-relaxed structure, the powder diffraction line list of Li2Cd8Pd3 was computed for CuKα.
Lines closer than 0.1° are merged.

Largest 10 diffraction maxima, sorted by position, 10 to 90 degrees two-theta:
Position (°2θ), Rel. int., hkl
13.8, 18.5, 0 2 0
27.7, 28.6, 2 0 1
27.8, 14.2, 0 4 0
31.0, 15.0, 2 2 1
39.1, 26.6, 0 0 2
39.6, 100.0, 2 4 1
39.9, 23.6, 4 0 0
57.1, 15.9, 4 0 2
71.3, 16.6, 2 4 3
72.3, 21.4, 4 8 0

Crystal structure
Lattice parameters (Å, degrees): 9.033 12.839 4.603 90.00 90.00 90.00
Space group Cmmm (No. 65)
Symmetry-distinct sites (fractional):
Li 0.000 0.238 0.000 [4 per cell]
Cd 0.000 0.134 0.500 [4 per cell]
Cd 0.000 0.375 0.500 [4 per cell]
Cd 0.234 0.374 0.000 [8 per cell]
Pd 0.000 0.000 0.000 [2 per cell]
Pd 0.242 0.000 0.500 [4 per cell]


No. 2
Starting from a GGA-PBE-relaxed structure, the powder diffraction line list of K2PbBr4O was computed for CuKα.
Lines closer than 0.1° are merged.

Largest 10 diffraction maxima, sorted by position, 10 to 90 degrees two-theta:
Position (°2θ), Rel. int., hkl
12.3, 100.0, 1 1 0
12.5, 36.0, 0 2 0
23.0, 83.2, 1 1 1
27.4, 37.0, 1 4 0
29.0, 37.6, 2 0 1
29.7, 39.1, 2 1 1
31.7, 69.7, 2 2 1
38.9, 44.1, 1 5 1
42.6, 25.7, 3 3 1
45.4, 26.4, 4 2 0

Crystal structure
Lattice parameters (Å, degrees): 8.323 14.149 4.591 90.00 90.00 90.00
Space group P2_12_12 (No. 18)
Symmetry-distinct sites (fractional):
K 0.086 0.176 0.007 [4 per cell]
Pb 0.000 0.500 0.522 [2 per cell]
Br 0.122 0.700 0.504 [4 per cell]
Br 0.237 0.454 0.033 [4 per cell]
O 0.000 0.000 0.246 [2 per cell]


No. 3
Starting from a GGA-PBE-relaxed structure, the powder diffraction line list of Y2Mg5Cd4 was computed for CuKα.
Lines closer than 0.1° are merged.

Largest 10 diffraction maxima, sorted by position, 10 to 90 degrees two-theta:
Position (°2θ), Rel. int., hkl
10.7, 27.3, 0 0 2
17.4, 33.0, 1 1 1
21.5, 40.3, 0 0 4
28.4, 45.3, 1 3 1
29.3, 39.3, 2 0 0
32.4, 100.0, 1 3 3
36.6, 48.2, 2 0 4
38.7, 25.3, 0 4 4
46.0, 27.1, 1 5 3
53.9, 22.5, 3 3 3

Crystal structure
Lattice parameters (Å, degrees): 6.106 11.260 16.541 90.00 90.00 90.00
Space group Fmmm (No. 69)
Symmetry-distinct sites (fractional):
Y 0.000 0.000 0.167 [8 per cell]
Mg 0.000 0.000 0.500 [4 per cell]
Mg 0.250 0.250 0.000 [8 per cell]
Mg 0.250 0.250 0.250 [8 per cell]
Cd 0.000 0.130 0.361 [16 per cell]


No. 4
Starting from a GGA-PBE-relaxed structure, the powder diffraction line list of LiAuCF2 was computed for CuKα.
Lines closer than 0.1° are merged.

Largest 10 diffraction maxima, sorted by position, 10 to 90 degrees two-theta:
Position (°2θ), Rel. int., hkl
16.6, 80.7, 0 0 1
26.5, 67.6, 1 0 0
31.4, 100.0, 1 0 1
33.5, 37.3, 0 0 2
37.9, 25.3, 1 1 0
41.6, 74.2, 1 1 1
43.2, 38.9, 1 0 2
51.4, 21.9, 1 1 2
64.4, 27.3, 2 1 1
65.6, 19.8, 2 0 2

Crystal structure
Lattice parameters (Å, degrees): 3.359 3.359 5.354 90.00 90.00 90.00
Space group P4/mmm (No. 123)
Symmetry-distinct sites (fractional):
Li 0.000 0.000 0.000 [1 per cell]
Au 0.500 0.500 0.500 [1 per cell]
C 0.000 0.000 0.500 [1 per cell]
F 0.000 0.500 0.000 [2 per cell]